[1]
Diffraction record for Ti6Ga16Ru7. The X-ray diffraction stick pattern is simulated, not measured: it uses a crystal structure in the Materials Project, relaxed with GGA-PBE and Cu Kα, 1.54184 Å.
Kinematic intensities with the Lorentz-polarization factor, no thermal factor.

Crystal structure
Unit cell a=12.2526 b=12.2526 c=12.2526 alpha=90.00 beta=90.00 gamma=90.00
Space group Fm-3m (No. 225)
Unique sites:
Ti 0.0000 0.0000 0.2233 [24 per cell]
Ga 0.1231 0.1231 0.3769 [32 per cell]
Ga 0.1479 0.1479 0.1479 [32 per cell]
Ru 0.0000 0.0000 0.5000 [4 per cell]
Ru 0.0000 0.2500 0.2500 [24 per cell]

Largest 6 diffraction maxima, low angle first, 15° ≤ 2θ ≤ 90°:
2θ 25.18, d 3.537, I 12.9, hkl 2 2 2
2θ 38.17, d 2.358, I 9.4, hkl 3 3 3
2θ 41.70, d 2.166, I 100.0, hkl 4 4 0
2θ 49.34, d 1.847, I 9.1, hkl 6 2 2
2θ 60.44, d 1.532, I 12.8, hkl 8 0 0
2θ 76.12, d 1.251, I 22.3, hkl 8 4 4

---

[2]
Diffraction record for Pr2AgIr. The X-ray diffraction stick pattern is simulated, not measured: it uses a crystal structure in the Materials Project, relaxed with GGA-PBE and Cu Kα, 1.54184 Å.
Kinematic intensities with the Lorentz-polarization factor, no thermal factor.

Crystal structure
Unit cell a=7.3219 b=7.3219 c=7.3219 alpha=90.00 beta=90.00 gamma=90.00
Space group Fm-3m (No. 225)
Unique sites:
Pr 0.2500 0.2500 0.2500 [8 per cell]
Ag 0.0000 0.0000 0.0000 [4 per cell]
Ir 0.0000 0.0000 0.5000 [4 per cell]

Largest 6 diffraction maxima, low angle first, 15° ≤ 2θ ≤ 90°:
2θ 21.02, d 4.227, I 3.8, hkl 1 1 1
2θ 34.65, d 2.589, I 100.0, hkl 2 2 0
2θ 49.82, d 1.830, I 17.8, hkl 4 0 0
2θ 62.10, d 1.495, I 36.6, hkl 4 2 2
2θ 73.11, d 1.294, I 11.3, hkl 4 4 0
2θ 83.50, d 1.158, I 16.0, hkl 6 2 0

---

[3]
Diffraction record for CaB2H2O8. The X-ray diffraction stick pattern is simulated, not measured: it uses a crystal structure in the Materials Project, relaxed with GGA-PBE and Cu Kα, 1.54184 Å.
Kinematic intensities with the Lorentz-polarization factor, no thermal factor.

Crystal structure
Unit cell a=11.8777 b=5.5451 c=9.1873 alpha=90.00 beta=118.69 gamma=90.00
Space group C2/c (No. 15)
Unique sites:
Ca 0.0000 0.1051 0.2500 [4 per cell]
B 0.1000 0.3344 0.0146 [8 per cell]
H 0.2479 0.2575 0.2460 [8 per cell]
O 0.0405 0.2576 0.5614 [8 per cell]
O 0.1052 0.3948 0.4873 [8 per cell]
O 0.1452 0.2124 0.9178 [8 per cell]
O 0.1552 0.2760 0.1896 [8 per cell]

Largest 6 diffraction maxima, low angle first, 15° ≤ 2θ ≤ 90°:
2θ 17.02, d 5.210, I 100.0, hkl 2 0 0
2θ 23.29, d 3.819, I 49.6, hkl 1 1 1
2θ 25.26, d 3.526, I 83.2, hkl 1 1 -2
2θ 32.29, d 2.773, I 38.4, hkl 0 2 0
2θ 41.85, d 2.159, I 50.4, hkl 1 1 3
2θ 42.50, d 2.127, I 35.1, hkl 5 1 -1

---

[4]
Diffraction record for Sr4IBrN2. The X-ray diffraction stick pattern is simulated, not measured: it uses a crystal structure in the Materials Project, relaxed with GGA-PBE and Cu Kα, 1.54184 Å.
Kinematic intensities with the Lorentz-polarization factor, no thermal factor.

Crystal structure
Unit cell a=3.9963 b=3.9963 c=45.6436 alpha=90.00 beta=90.00 gamma=120.00
Space group R-3m (No. 166, hexagonal axes)
Unique sites:
Sr 0.0000 0.0000 0.1097 [6 per cell]
Sr 0.0000 0.0000 0.3846 [6 per cell]
I 0.0000 0.0000 0.5000 [3 per cell]
Br 0.0000 0.0000 0.0000 [3 per cell]
N 0.0000 0.0000 0.2529 [6 per cell]

Largest 6 diffraction maxima, low angle first, 15° ≤ 2θ ≤ 90°:
2θ 26.04, d 3.422, I 29.6, hkl 0 1 2
2θ 30.20, d 2.959, I 100.0, hkl 0 1 8
2θ 32.47, d 2.758, I 55.4, hkl 1 0 10
2θ 35.40, d 2.536, I 21.2, hkl 0 0 18
2θ 45.39, d 1.998, I 40.6, hkl 1 1 0
2θ 58.84, d 1.569, I 29.1, hkl 1 1 18